Diffraction record for ScMnF5. The X-ray diffraction stick pattern is computed, not measured: it uses a PBE+U-relaxed structure and Cu Kα, 1.54184 Å.

Top 12 peaks for 2θ = 10–80°, low angle first:
| 2θ/deg | d (Å) | I (rel.) |
| --- | --- | --- |
| 22.1 | 4.031 | 91 |
| 26.5 | 3.361 | 100 |
| 27.3 | 3.265 | 40 |
| 37.5 | 2.397 | 19 |
| 45.0 | 2.015 | 31 |
| 46.3 | 1.960 | 21 |
| 47.8 | 1.903 | 33 |
| 52.9 | 1.732 | 14 |
| 53.1 | 1.725 | 12 |
| 53.4 | 1.715 | 11 |
| 54.6 | 1.681 | 14 |
| 67.8 | 1.382 | 10 |

Structure:
Cell: 5.553 5.553 7.841 Å, 110.91 110.91 72.03°
Sites, in units of the cell vectors:
Sc  0.000  0.000  0.000
Sc  0.000  0.000  0.500
Mn  0.471  0.529  0.750
Mn  0.529  0.471  0.250
F  0.107  0.893  0.750
F  0.208  0.284  0.633
F  0.281  0.677  0.043
F  0.284  0.208  0.133
F  0.323  0.719  0.457
F  0.677  0.281  0.543
F  0.716  0.792  0.867
F  0.719  0.323  0.957
F  0.792  0.716  0.367
F  0.893  0.107  0.250